[1]
For Ti2Zn5Ge, the GGA-PBE geometry in Alexandria gives the computed powder X-ray diffraction pattern in this record (λ = 1.5418 Å (Cu Kα)).
Neutral-atom scattering factors, no anomalous dispersion.

Principal peaks in the range 5 to 70 degrees two-theta, by angle:
| two_theta | d [Å] | I (rel.) | h k l |
| --- | --- | --- | --- |
| 22.50 | 3.951 | 2 | 1 2 0 |
| 32.46 | 2.759 | 2 | 1 2 1 |
| 39.86 | 2.262 | 100 | 0 4 1 |
| 40.35 | 2.235 | 2 | 2 3 0 |
| 40.69 | 2.217 | 3 | 2 1 1 |
| 45.94 | 1.976 | 31 | 2 4 0 |
| 47.17 | 1.927 | 16 | 0 0 2 |
| 66.99 | 1.397 | 8 | 0 8 0 |
| 67.55 | 1.387 | 1 | 4 1 0 |
| 67.96 | 1.379 | 18 | 2 4 2 |

Structural model:
```
data_Ti2Zn5Ge
_symmetry_space_group_name_H-M 'P b a m'
_symmetry_Int_Tables_number 55
_cell_length_a 5.5902
_cell_length_b 11.1711
_cell_length_c 3.8532
_cell_angle_alpha 90.00
_cell_angle_beta 90.00
_cell_angle_gamma 90.00
loop_
_symmetry_equiv_pos_as_xyz
'x,y,z'
'-x,-y,-z'
'-x,-y,z'
'x,y,-z'
'x+1/2,-y+1/2,-z'
'-x+1/2,y+1/2,z'
'-x+1/2,y+1/2,-z'
'x+1/2,-y+1/2,z'
loop_
_atom_site_label
_atom_site_fract_x
_atom_site_fract_y
_atom_site_fract_z
Ti1 0.2239 0.1161 0.0000
Zn1 0.0000 0.5000 0.5000
Zn2 0.0226 0.7450 0.5000
Zn3 0.2212 0.3655 0.0000
Ge1 0.0000 0.0000 0.5000
```

***

[2]
For LiTi3Rh4, the GGA-PBE geometry in Alexandria gives the computed powder X-ray diffraction pattern in this record (λ = 1.5418 Å (Cu Kα)).
Neutral-atom scattering factors, no anomalous dispersion.

Principal peaks in the range 5 to 70 degrees two-theta, by angle:
| two_theta | d [Å] | I (rel.) | h k l |
| --- | --- | --- | --- |
| 12.52 | 7.069 | 2 | 0 0 3 |
| 24.06 | 3.699 | 2 | 1 0 1 |
| 25.16 | 3.540 | 1 | 0 1 2 |
| 29.13 | 3.065 | 32 | 1 0 4 |
| 41.67 | 2.167 | 100 | 1 1 0 |
| 51.62 | 1.771 | 7 | 0 2 4 |
| 51.73 | 1.767 | 2 | 0 0 12 |
| 57.77 | 1.596 | 1 | 1 1 9 |
| 60.40 | 1.533 | 16 | 2 0 8 |
| 68.44 | 1.371 | 11 | 1 1 12 |

Structural model:
```
data_LiTi3Rh4
_symmetry_space_group_name_H-M 'R -3 m'
_symmetry_Int_Tables_number 166
_symmetry_space_group_name_Hall '-R 3 2"'
_cell_length_a 4.3380
_cell_length_b 4.3380
_cell_length_c 21.2070
_cell_angle_alpha 90.00
_cell_angle_beta 90.00
_cell_angle_gamma 120.00
loop_
_atom_site_label
_atom_site_fract_x
_atom_site_fract_y
_atom_site_fract_z
Li1 0.0000 0.0000 0.0000
Ti1 0.0000 0.0000 0.2551
Ti2 0.0000 0.0000 0.5000
Rh1 0.0000 0.0000 0.1273
Rh2 0.0000 0.0000 0.3769
```

***

[3]
For SmTiN, the GGA-PBE geometry in Alexandria gives the computed powder X-ray diffraction pattern in this record (λ = 1.5418 Å (Cu Kα)).
Neutral-atom scattering factors, no anomalous dispersion.

Principal peaks in the range 5 to 70 degrees two-theta, by angle:
| two_theta | d [Å] | I (rel.) | h k l |
| --- | --- | --- | --- |
| 26.07 | 3.418 | 56 | 1 1 0 |
| 26.22 | 3.399 | 23 | 0 0 1 |
| 30.19 | 2.960 | 40 | 2 0 0 |
| 30.32 | 2.948 | 25 | 1 0 1 |
| 37.31 | 2.410 | 100 | 1 1 1 |
| 40.30 | 2.238 | 57 | 2 1 0 |
| 40.41 | 2.232 | 74 | 2 0 1 |
| 56.00 | 1.642 | 28 | 3 1 0 |
| 62.85 | 1.479 | 57 | 3 1 1 |
| 69.45 | 1.353 | 22 | 2 1 2 |

Structural model:
```
data_SmTiN
_symmetry_space_group_name_H-M 'P -6 2 m'
_symmetry_Int_Tables_number 189
_symmetry_space_group_name_Hall 'P -6 -2'
_cell_length_a 6.8364
_cell_length_b 6.8364
_cell_length_c 3.3987
_cell_angle_alpha 90.00
_cell_angle_beta 90.00
_cell_angle_gamma 120.00
loop_
_atom_site_label
_atom_site_fract_x
_atom_site_fract_y
_atom_site_fract_z
Sm1 0.0000 0.4187 0.0000
Ti1 0.0000 0.7770 0.5000
N1 0.0000 0.0000 0.0000
N2 0.3333 0.6667 0.5000
```

***

[4]
For RbSrAc, the GGA-PBE geometry in Alexandria gives the computed powder X-ray diffraction pattern in this record (λ = 1.5418 Å (Cu Kα)).
Neutral-atom scattering factors, no anomalous dispersion.

Principal peaks in the range 5 to 70 degrees two-theta, by angle:
| two_theta | d [Å] | I (rel.) | h k l |
| --- | --- | --- | --- |
| 11.90 | 7.437 | 14 | 3 0 0 |
| 23.93 | 3.719 | 23 | 6 0 0 |
| 24.66 | 3.611 | 31 | 0 0 2 |
| 27.46 | 3.248 | 100 | 3 1 1 |
| 29.47 | 3.031 | 19 | 4 0 2 |
| 34.63 | 2.590 | 16 | 6 0 2 |
| 43.41 | 2.085 | 20 | 0 2 0 |
| 44.32 | 2.044 | 12 | 9 1 1 |
| 50.17 | 1.818 | 19 | 6 2 0 |
| 52.13 | 1.754 | 17 | 3 0 4 |

Structural model:
```
data_RbSrAc
_symmetry_space_group_name_H-M 'A m m 2'
_symmetry_Int_Tables_number 38
_cell_length_a 22.3124
_cell_length_b 4.1723
_cell_length_c 7.2162
_cell_angle_alpha 90.00
_cell_angle_beta 90.00
_cell_angle_gamma 90.00
loop_
_symmetry_equiv_pos_as_xyz
'x,y,z'
'-x,-y,z'
'-x,y,z'
'x,-y,z'
'x,y+1/2,z+1/2'
'-x,-y+1/2,z+1/2'
'-x,y+1/2,z+1/2'
'x,-y+1/2,z+1/2'
loop_
_atom_site_label
_atom_site_fract_x
_atom_site_fract_y
_atom_site_fract_z
Rb1 0.1803 0.0000 0.0000
Sr1 0.0000 0.0000 0.3302
Sr2 0.5000 0.0000 0.0094
Ac1 0.3524 0.0000 0.3429
```

***

Which formula does entry 3 have? SmTiN